The following is a computed X-ray powder pattern of Dy5ThMg4. It was derived from a structure optimized by DFT (PBE), using Cu Kα, 1.54184 Å.

Largest 10 diffraction maxima, in order of rising 2θ, 2θ = 10–90°:
hkl 0 0 5, 2θ = 21.72°, d 4.092, rel. 11; hkl 1 0 0, 2θ = 23.97°, d 3.712, rel. 21; hkl 1 0 1, 2θ = 24.37°, d 3.652, rel. 10; hkl 1 0 4, 2θ = 29.74°, d 3.004, rel. 15; hkl 1 0 5, 2θ = 32.57°, d 2.749, rel. 100; hkl 1 1 0, 2θ = 34.16°, d 2.625, rel. 49; hkl 1 1 5, 2θ = 40.85°, d 2.209, rel. 9; hkl 2 0 0, 2θ = 49.09°, d 1.856, rel. 18; hkl 1 1 10, 2θ = 57.08°, d 1.614, rel. 17; hkl 2 1 5, 2θ = 60.16°, d 1.538, rel. 35

Structure:
a b c (Å): 3.7118 3.7118 20.4604
angles (deg): 90.00 90.00 90.00
Positions (direct):
Dy 0.0000 0.0000 0.0000
Dy 0.0000 0.0000 0.1877
Dy 0.0000 0.0000 0.3859
Dy 0.0000 0.0000 0.6141
Dy 0.0000 0.0000 0.8123
Th 0.5000 0.5000 0.5000
Mg 0.5000 0.5000 0.0945
Mg 0.5000 0.5000 0.2855
Mg 0.5000 0.5000 0.7145
Mg 0.5000 0.5000 0.9055